[1]
Diffraction record for Ho5In4Pt2. The powder diffractogram is theoretical, not measured: it uses a structure optimized by DFT (PBE) and Cu Kα, 1.54184 Å.
Peak positions follow from Bragg's law for the DFT cell and can differ from measured ones.

Structure:
a b c (Å): 8.160 18.237 3.607
angles (deg): 90.00 90.00 90.00
Space group Pbam (No. 55)
Inequivalent atoms, fractional coordinates:
Ho1 0.000 0.000 0.000 x2
Ho2 0.117 0.414 0.000 x4
Ho3 0.244 0.220 0.000 x4
In1 0.076 0.850 0.500 x4
In2 0.208 0.567 0.500 x4
Pt1 0.024 0.303 0.500 x4

Peak list (10 most intense, 15 to 90 degrees two-theta, sorted by position)
index, 2θ/deg, d [Å], Rel. int.
1 3 0, 18.2, 4.875, 19
1 4 1, 33.5, 2.673, 79
3 2 0, 34.4, 2.606, 36
2 2 1, 34.6, 2.591, 100
1 7 0, 36.2, 2.482, 50
2 3 1, 36.4, 2.469, 28
1 5 1, 36.7, 2.447, 52
2 6 0, 36.9, 2.437, 23
0 0 2, 50.6, 1.803, 27
5 1 1, 62.7, 1.482, 29


[2]
Diffraction record for TbSi2Rh2. The powder diffractogram is theoretical, not measured: it uses a structure optimized by DFT (PBE) and Cu Kα, 1.54184 Å.
Peak positions follow from Bragg's law for the DFT cell and can differ from measured ones.

Structure:
a b c (Å): 4.072 4.072 10.017
angles (deg): 90.00 90.00 90.00
Space group I4/mmm (No. 139)
Inequivalent atoms, fractional coordinates:
Tb1 0.000 0.000 0.000 x2
Si1 0.000 0.000 0.378 x4
Rh1 0.000 0.500 0.250 x4

Peak list (10 most intense, 15 to 90 degrees two-theta, sorted by position)
index, 2θ/deg, d [Å], Rel. int.
1 0 1, 23.6, 3.772, 28
1 0 3, 34.7, 2.582, 30
0 0 4, 35.9, 2.504, 18
1 1 2, 36.0, 2.496, 100
2 0 0, 44.5, 2.036, 36
2 1 3, 57.7, 1.599, 14
2 0 4, 58.4, 1.580, 17
1 1 6, 64.5, 1.444, 17
2 2 0, 64.7, 1.440, 12
3 1 2, 76.3, 1.247, 30


[3]
Diffraction record for K2Te2Pt. The powder diffractogram is theoretical, not measured: it uses a structure optimized by DFT (PBE) and Cu Kα, 1.54184 Å.
Peak positions follow from Bragg's law for the DFT cell and can differ from measured ones.

Structure:
a b c (Å): 4.032 7.972 10.491
angles (deg): 90.00 90.00 90.00
Space group Immm (No. 71)
Inequivalent atoms, fractional coordinates:
K1 0.000 0.000 0.207 x4
Te1 0.000 0.220 0.500 x4
Pt1 0.000 0.500 0.000 x2

Peak list (10 most intense, 15 to 90 degrees two-theta, sorted by position)
index, 2θ/deg, d [Å], Rel. int.
0 0 2, 16.9, 5.245, 85
0 1 3, 27.9, 3.202, 34
1 1 2, 30.1, 2.967, 29
1 2 1, 32.7, 2.736, 100
0 0 4, 34.2, 2.623, 26
1 2 3, 41.0, 2.202, 36
1 3 2, 44.3, 2.043, 33
2 0 0, 45.0, 2.016, 14
2 0 2, 48.4, 1.882, 12
1 2 5, 54.4, 1.686, 29


> Which formula does entry 3 have?

K2Te2Pt


Copy entry 3 word for word.
Diffraction record for K2Te2Pt. The powder diffractogram is theoretical, not measured: it uses a structure optimized by DFT (PBE) and Cu Kα, 1.54184 Å.
Peak positions follow from Bragg's law for the DFT cell and can differ from measured ones.

Structure:
a b c (Å): 4.032 7.972 10.491
angles (deg): 90.00 90.00 90.00
Space group Immm (No. 71)
Inequivalent atoms, fractional coordinates:
K1 0.000 0.000 0.207 x4
Te1 0.000 0.220 0.500 x4
Pt1 0.000 0.500 0.000 x2

Peak list (10 most intense, 15 to 90 degrees two-theta, sorted by position)
index, 2θ/deg, d [Å], Rel. int.
0 0 2, 16.9, 5.245, 85
0 1 3, 27.9, 3.202, 34
1 1 2, 30.1, 2.967, 29
1 2 1, 32.7, 2.736, 100
0 0 4, 34.2, 2.623, 26
1 2 3, 41.0, 2.202, 36
1 3 2, 44.3, 2.043, 33
2 0 0, 45.0, 2.016, 14
2 0 2, 48.4, 1.882, 12
1 2 5, 54.4, 1.686, 29